(1)
ScGeIr: computed XRD peak list (copper Kα), based on a GGA-PBE-relaxed structure.
Intensities are scaled so that the largest is 100.

Top 10 peaks for 15° ≤ 2θ ≤ 90°, in order of rising 2θ:
18.0°, rel. 80; 23.7°, rel. 36; 28.1°, rel. 72; 35.0°, rel. 100; 37.1°, rel. 54; 42.1°, rel. 75; 43.4°, rel. 62; 43.6°, rel. 57; 44.4°, rel. 38; 63.2°, rel. 40

a = 6.5104 Å, b = 4.1487 Å, c = 7.5238 Å
α = 90.00°, β = 90.00°, γ = 90.00°
Fractional coordinates of all 12 atoms:
Sc 0.0140 0.2500 0.1873
Sc 0.4860 0.7500 0.6873
Sc 0.5140 0.2500 0.3127
Sc 0.9860 0.7500 0.8127
Ge 0.2157 0.7500 0.3769
Ge 0.2843 0.2500 0.8769
Ge 0.7157 0.7500 0.1231
Ge 0.7843 0.2500 0.6231
Ir 0.1639 0.2500 0.5576
Ir 0.3361 0.7500 0.0576
Ir 0.6639 0.2500 0.9424
Ir 0.8361 0.7500 0.4424

---

(2)
MgTi6H4O14: computed XRD peak list (copper Kα), based on a GGA-PBE-relaxed structure.
Intensities are scaled so that the largest is 100.

Top 10 peaks for 15° ≤ 2θ ≤ 90°, in order of rising 2θ:
15.9°, rel. 100; 25.2°, rel. 88; 26.4°, rel. 47; 27.3°, rel. 32; 28.4°, rel. 62; 28.6°, rel. 62; 38.7°, rel. 81; 41.5°, rel. 76; 46.6°, rel. 68; 63.7°, rel. 30

a = 3.9036 Å, b = 7.5590 Å, c = 9.5079 Å
α = 96.81°, β = 90.14°, γ = 93.15°
Fractional coordinates of all 25 atoms:
Mg 0.0000 0.0000 0.0000
Ti 0.0315 0.2867 0.7212
Ti 0.0486 0.4951 0.0998
Ti 0.0525 0.4072 0.4176
Ti 0.4954 0.9939 0.7549
Ti 0.5222 0.0872 0.4682
Ti 0.5247 0.2376 0.1560
H 0.2676 0.6915 0.8647
H 0.3073 0.6461 0.6991
H 0.3481 0.8884 0.2469
H 0.3594 0.7719 0.0587
O 0.9999 0.0276 0.7853
O 0.0205 0.1502 0.4791
O 0.0242 0.2320 0.1570
O 0.0447 0.3986 0.8919
O 0.0696 0.5754 0.2971
O 0.0735 0.4894 0.6008
O 0.1103 0.7540 0.0469
O 0.4109 0.7230 0.7845
O 0.4928 0.8953 0.5622
O 0.5006 0.9957 0.2683
O 0.5098 0.0631 0.9838
O 0.5272 0.2324 0.6744
O 0.5428 0.3333 0.3709
O 0.5505 0.4815 0.0904

---

(3)
SrAl2B2O7: computed XRD peak list (copper Kα), based on a GGA-PBE-relaxed structure.
Intensities are scaled so that the largest is 100.

Top 10 peaks for 15° ≤ 2θ ≤ 90°, in order of rising 2θ:
22.0°, rel. 83; 25.4°, rel. 100; 27.7°, rel. 44; 33.2°, rel. 78; 36.2°, rel. 19; 36.4°, rel. 53; 42.9°, rel. 64; 50.0°, rel. 44; 57.5°, rel. 23; 63.4°, rel. 19

a = 8.6123 Å, b = 8.6123 Å, c = 8.6123 Å
α = 33.35°, β = 33.35°, γ = 33.35°
Fractional coordinates of all 12 atoms:
Sr 0.0000 0.0000 0.0000
Al 0.4307 0.4307 0.4307
Al 0.5693 0.5693 0.5693
B 0.2647 0.2647 0.2647
B 0.7353 0.7353 0.7353
O 0.0364 0.4868 0.6753
O 0.3247 0.5132 0.9636
O 0.4868 0.6753 0.0364
O 0.5000 0.5000 0.5000
O 0.5132 0.9636 0.3247
O 0.6753 0.0364 0.4868
O 0.9636 0.3247 0.5132

---

(4)
SrAl2Si2: computed XRD peak list (copper Kα), based on a GGA-PBE-relaxed structure.
Intensities are scaled so that the largest is 100.

Top 10 peaks for 15° ≤ 2θ ≤ 90°, in order of rising 2θ:
27.3°, rel. 100; 34.4°, rel. 60; 36.2°, rel. 14; 43.0°, rel. 44; 44.1°, rel. 18; 51.7°, rel. 16; 56.2°, rel. 14; 57.4°, rel. 22; 69.4°, rel. 14; 73.3°, rel. 13

a = 4.2063 Å, b = 4.2063 Å, c = 7.4479 Å
α = 90.00°, β = 90.00°, γ = 120.00°
Fractional coordinates of all 5 atoms:
Sr 0.0000 0.0000 0.0000
Al 0.3333 0.6667 0.6258
Al 0.6667 0.3333 0.3742
Si 0.3333 0.6667 0.2763
Si 0.6667 0.3333 0.7237